Starting from a structure optimized by DFT (PBE+U), the powder diffractogram of K2DyVF6 was simulated for a wavelength of 1.5418 Å.

Main lines, by angle (10 to 80 degrees two-theta):
d [Å], 2theta, Rel. int.
5.343, 16.59, 37
5.185, 17.10, 64
4.312, 20.60, 36
3.982, 22.33, 17
3.317, 26.88, 100
2.988, 29.90, 26
2.595, 34.56, 32
2.156, 41.90, 29
2.111, 42.84, 19
1.658, 55.40, 19

Cell: 5.972 10.381 6.231 Å, 90.00 90.00 90.00°
Space group Pmmn (No. 59, origin choice 2)
One atom of each set of equivalent atoms:
K 0.250 0.014 0.236 x4
Dy 0.250 0.750 0.807 x2
V 0.250 0.250 0.692 x2
F 0.004 0.250 0.940 x4
F 0.014 0.250 0.435 x4
F 0.250 0.541 0.820 x4